Simulated powder XRD pattern
Compound: LaH8Pt2
Radiation: Cu Kα (λ = 1.5418 Å)
Structure: DFT lattice parameters and positions (PBE)
No peak broadening, texture or thermal motion is included.

The 12 most intense peaks (2θ from 15° to 90°), in order of rising 2θ:
2θ (°)  d/Å  I_rel  hkl
15.81  5.606  16.5  0 0 1
17.78  4.990  39.1  0 1 0
24.32  3.660  19.4  1 0 0
30.28  2.951  100.0  1 1 0
36.00  2.495  32.3  0 2 0
36.78  2.444  61.3  0 1 2
40.54  2.225  47.3  1 0 2
44.58  2.032  15.3  1 1 2
55.32  1.661  37.5  1 2 2
61.21  1.514  14.1  1 3 0
63.51  1.465  25.1  2 1 2
75.03  1.266  16.6  1 1 4

Structural model:
```
data_LaH8Pt2
_chemical_formula_sum 'La1 H8 Pt2'
_space_group_name_H-M_alt 'P m m m'
_space_group_IT_number 47
_cell_length_a 3.660
_cell_length_b 4.990
_cell_length_c 5.606
_cell_angle_alpha 90.00
_cell_angle_beta 90.00
_cell_angle_gamma 90.00
loop_
_space_group_symop_operation_xyz
'x,y,z'
'-x,-y,-z'
'-x,-y,z'
'x,y,-z'
'x,-y,-z'
'-x,y,z'
'-x,y,-z'
'x,-y,z'
loop_
_atom_site_label
_atom_site_fract_x
_atom_site_fract_y
_atom_site_fract_z
_atom_site_occupancy
La1 0.000 0.000 0.000 1
H1 0.000 0.077 0.500 1
H2 0.000 0.500 0.254 1
H3 0.500 0.168 0.265 1
Pt1 0.500 0.500 0.249 1
```